The following is a computed X-ray diffraction stick pattern of PaTcIr2. It was derived from a cell relaxed with PBE, using copper Kα.

Structure:
abc: 4.087 4.087 4.083
angles: 90.00 90.00 90.00
Sites, in units of the cell vectors:
Pa (0.000, 0.000, 0.000)
Tc (0.500, 0.500, 0.000)
Ir (0.000, 0.500, 0.500)
Ir (0.500, 0.000, 0.500)

Most intense lines, 10° ≤ 2θ ≤ 90°, by angle:
- 2θ 21.75, I 7
- 2θ 30.96, I 6
- 2θ 38.15, I 100
- 2θ 44.34, I 49
- 2θ 49.91, I 3
- 2θ 55.05, I 3
- 2θ 64.51, I 33
- 2θ 68.95, I 2
- 2θ 73.27, I 1
- 2θ 77.48, I 39
- 2θ 81.63, I 11
- 2θ 89.82, I 1

---

The following is a computed X-ray diffraction stick pattern of TmPa3Ir4. It was derived from a cell relaxed with PBE, using copper Kα.

Structure:
abc: 11.585 8.276 3.764
angles: 90.00 107.99 90.00
Sites, in units of the cell vectors:
Tm (0.000, 0.000, 0.000)
Tm (0.500, 0.500, 0.000)
Pa (0.000, 0.500, 0.002)
Pa (0.224, 0.248, 0.719)
Pa (0.224, 0.752, 0.719)
Pa (0.500, 0.000, 0.002)
Pa (0.724, 0.252, 0.719)
Pa (0.724, 0.748, 0.719)
Ir (0.262, 0.000, 0.252)
Ir (0.262, 0.500, 0.257)
Ir (0.461, 0.237, 0.464)
Ir (0.461, 0.763, 0.464)
Ir (0.762, 0.000, 0.257)
Ir (0.762, 0.500, 0.252)
Ir (0.961, 0.263, 0.464)
Ir (0.961, 0.737, 0.464)

Most intense lines, 10° ≤ 2θ ≤ 90°, by angle:
- 2θ 32.50, I 83
- 2θ 33.09, I 100
- 2θ 33.29, I 87
- 2θ 39.29, I 26
- 2θ 40.41, I 60
- 2θ 40.92, I 63
- 2θ 43.75, I 48
- 2θ 48.37, I 36
- 2θ 55.55, I 37
- 2θ 58.98, I 16
- 2θ 67.26, I 27
- 2θ 76.25, I 15

---

The following is a computed X-ray diffraction stick pattern of Pa4Zn5Ir6. It was derived from a cell relaxed with PBE, using copper Kα.

Structure:
abc: 10.643 10.643 14.201
angles: 90.00 90.00 159.34
Sites, in units of the cell vectors:
Pa (0.023, 0.977, 0.500)
Pa (0.051, 0.949, 0.764)
Pa (0.142, 0.858, 0.278)
Pa (0.177, 0.823, 0.934)
Pa (0.823, 0.177, 0.434)
Pa (0.858, 0.142, 0.778)
Pa (0.949, 0.051, 0.264)
Pa (0.977, 0.023, 0.000)
Zn (0.181, 0.819, 0.608)
Zn (0.306, 0.694, 0.609)
Zn (0.321, 0.679, 0.245)
Zn (0.349, 0.651, 0.967)
Zn (0.458, 0.542, 0.659)
Zn (0.542, 0.458, 0.159)
Zn (0.651, 0.349, 0.467)
Zn (0.679, 0.321, 0.745)
Zn (0.694, 0.306, 0.109)
Zn (0.819, 0.181, 0.108)
Ir (0.105, 0.895, 0.086)
Ir (0.233, 0.767, 0.437)
Ir (0.260, 0.740, 0.779)
Ir (0.418, 0.582, 0.124)
Ir (0.422, 0.578, 0.419)
Ir (0.449, 0.551, 0.848)
Ir (0.551, 0.449, 0.348)
Ir (0.578, 0.422, 0.919)
Ir (0.582, 0.418, 0.624)
Ir (0.740, 0.260, 0.279)
Ir (0.767, 0.233, 0.937)
Ir (0.895, 0.105, 0.586)

Most intense lines, 10° ≤ 2θ ≤ 90°, by angle:
- 2θ 12.47, I 15
- 2θ 32.36, I 37
- 2θ 32.72, I 20
- 2θ 34.21, I 27
- 2θ 34.78, I 48
- 2θ 36.90, I 15
- 2θ 37.10, I 100
- 2θ 38.02, I 22
- 2θ 40.86, I 16
- 2θ 42.91, I 33
- 2θ 43.69, I 15
- 2θ 47.66, I 39

---

The following is a computed X-ray diffraction stick pattern of PaZnIr. It was derived from a cell relaxed with PBE, using copper Kα.

Structure:
abc: 7.224 3.894 12.358
angles: 90.00 90.21 90.00
Sites, in units of the cell vectors:
Pa (0.053, 0.250, 0.375)
Pa (0.170, 0.250, 0.081)
Pa (0.439, 0.750, 0.713)
Pa (0.561, 0.250, 0.287)
Pa (0.830, 0.750, 0.919)
Pa (0.947, 0.750, 0.625)
Zn (0.109, 0.250, 0.798)
Zn (0.381, 0.750, 0.459)
Zn (0.493, 0.250, 0.918)
Zn (0.507, 0.750, 0.082)
Zn (0.619, 0.250, 0.541)
Zn (0.891, 0.750, 0.202)
Ir (0.232, 0.250, 0.588)
Ir (0.236, 0.750, 0.923)
Ir (0.266, 0.750, 0.251)
Ir (0.734, 0.250, 0.749)
Ir (0.764, 0.250, 0.077)
Ir (0.768, 0.750, 0.412)

Most intense lines, 10° ≤ 2θ ≤ 90°, by angle:
- 2θ 29.81, I 23
- 2θ 31.51, I 23
- 2θ 33.85, I 51
- 2θ 34.03, I 66
- 2θ 34.63, I 31
- 2θ 36.94, I 100
- 2θ 37.15, I 53
- 2θ 39.25, I 32
- 2θ 43.45, I 25
- 2θ 43.60, I 23
- 2θ 43.96, I 21
- 2θ 46.65, I 52